Diffraction record for LiMn8O16. The powder XRD pattern is calculated, not measured: it uses the PBE+U geometry in Alexandria and CuKα.
Intensities are scaled so that the largest is 100.

Structural model:
abc: 5.911 11.700 8.298
angles: 90.00 90.00 90.00
Space group Pmmn (No. 59, origin choice 2)
Unique sites:
Li: 0.250 0.250 0.122 [2 per cell]
Mn: 0.000 0.000 0.000 [4 per cell]
Mn: 0.000 0.250 0.498 [4 per cell]
Mn: 0.250 0.125 0.746 [4 per cell]
Mn: 0.250 0.623 0.750 [4 per cell]
O: 0.029 0.750 0.739 [4 per cell]
O: 0.032 0.250 0.731 [4 per cell]
O: 0.034 0.000 0.761 [8 per cell]
O: 0.250 0.117 0.979 [4 per cell]
O: 0.250 0.141 0.512 [4 per cell]
O: 0.250 0.608 0.983 [4 per cell]
O: 0.250 0.641 0.517 [4 per cell]

Peak list (10 most intense, 10 to 80 degrees two-theta, low angle first)
(hkl)  two_theta  Rel. int.
1 0 1  18.43  100
0 2 1  18.56  93
2 2 1  35.72  23
0 2 3  35.90  46
2 0 2  37.36  9
0 4 2  37.62  9
2 4 0  43.56  96
3 4 1  57.47  12
1 0 5  57.72  20
2 4 4  63.33  34